Diffraction record for Li2MnFe2. The X-ray powder pattern is theoretical, not measured: it uses the PBE geometry in Alexandria and Cu Kα, 1.54184 Å.
Lines closer than 0.1° are merged.

Main lines, sorted by position (2θ from 10° to 90°):
d/Å	Rel. int.	index
4.430	100	0 0 1
2.478	21	2 1 0
2.215	19	0 0 2
2.163	38	2 1 1
1.753	16	3 1 0
1.652	11	2 1 2
1.630	21	3 1 1
1.374	13	3 1 2
1.269	6	2 1 3
1.129	6	3 1 3

Atomic structure:
```
data_Li2MnFe2
_chemical_formula_sum 'Li4 Mn2 Fe4'
_cell_length_a 5.542
_cell_length_b 5.542
_cell_length_c 4.430
_cell_angle_alpha 90.00
_cell_angle_beta 90.00
_cell_angle_gamma 90.00
_space_group_name_H-M_alt 'P 4/m b m'
_space_group_IT_number 127
_space_group_name_Hall '-P 4 2ab'
loop_
_atom_site_label
_atom_site_fract_x
_atom_site_fract_y
_atom_site_fract_z
Li1 0.175 0.325 0.000
Mn1 0.000 0.000 0.500
Fe1 0.136 0.636 0.500
```